No. 1
Starting from DFT lattice parameters and positions (PBE), the powder XRD pattern of UF3 was simulated for Cu Kα.
Peak positions follow from Bragg's law for the DFT cell and can differ from measured ones.

Structural model:
Lattice parameters (Å, degrees): 4.2101 4.2101 4.6437 90.00 90.00 120.00
Space group P-3m1 (No. 164)
Inequivalent atoms, fractional coordinates:
U 0.0000 0.0000 0.0000
F 0.0000 0.0000 0.5000
F 0.3333 0.6667 0.1040

Main lines, sorted by position (2θ from 5° to 70°):
2θ = 19.11°, rel. 66, (0 0 1)
2θ = 24.41°, rel. 100, (1 0 0)
2θ = 31.19°, rel. 78, (0 1 1)
2θ = 42.97°, rel. 36, (1 1 0)
2θ = 46.36°, rel. 43, (0 1 2)
2θ = 47.42°, rel. 39, (1 1 1)
2θ = 50.03°, rel. 15, (2 0 0)
2θ = 54.04°, rel. 18, (2 0 1)
2θ = 59.25°, rel. 23, (1 1 2)
2θ = 65.05°, rel. 16, (2 0 2)

No. 2
Starting from DFT lattice parameters and positions (PBE), the powder XRD pattern of UF4 was simulated for Cu Kα.
Peak positions follow from Bragg's law for the DFT cell and can differ from measured ones.

Structural model:
Lattice parameters (Å, degrees): 7.215 5.376 7.718 90.00 92.04 90.00
Space group C2/c (No. 15)
Inequivalent atoms, fractional coordinates:
U 0.000 0.044 0.250
F 0.056 0.215 0.979
F 0.224 0.331 0.296

Main lines, sorted by position (2θ from 5° to 70°):
2θ = 20.61°, rel. 100, (1 1 0)
2θ = 23.06°, rel. 38, (0 0 2)
2θ = 24.69°, rel. 31, (2 0 0)
2θ = 30.78°, rel. 30, (1 1 -2)
2θ = 31.46°, rel. 34, (1 1 2)
2θ = 33.38°, rel. 16, (2 0 -2)
2θ = 40.92°, rel. 16, (0 2 2)
2θ = 41.14°, rel. 19, (3 1 0)
2θ = 46.97°, rel. 13, (3 1 -2)
2θ = 48.85°, rel. 12, (2 2 2)

No. 3
Starting from DFT lattice parameters and positions (PBE), the powder XRD pattern of UF3 was simulated for Cu Kα.
Peak positions follow from Bragg's law for the DFT cell and can differ from measured ones.

Structural model:
Lattice parameters (Å, degrees): 7.1971 7.1971 7.3936 90.00 90.00 120.00
Space group P6_3cm (No. 185)
Inequivalent atoms, fractional coordinates:
U 0.0000 0.3264 0.0000
F 0.0000 0.0000 0.0688
F 0.0000 0.2788 0.3267
F 0.0000 0.3768 0.6653
F 0.3333 0.6667 0.4513

Main lines, sorted by position (2θ from 5° to 70°):
2θ = 24.07°, rel. 35, (0 0 2)
2θ = 24.74°, rel. 25, (1 1 0)
2θ = 27.57°, rel. 100, (1 1 1)
2θ = 34.79°, rel. 13, (1 1 2)
2θ = 43.56°, rel. 34, (3 0 0)
2θ = 44.56°, rel. 44, (1 1 3)
2θ = 50.38°, rel. 31, (3 0 2)
2θ = 52.33°, rel. 19, (2 2 1)
2θ = 64.08°, rel. 14, (2 2 3)
2θ = 67.87°, rel. 12, (3 0 4)

No. 4
Starting from DFT lattice parameters and positions (PBE), the powder XRD pattern of U2F13 was simulated for Cu Kα.
Peak positions follow from Bragg's law for the DFT cell and can differ from measured ones.

Structural model:
Lattice parameters (Å, degrees): 5.236 6.827 8.190 65.45 83.40 80.59
Space group P-1 (No. 2)
Inequivalent atoms, fractional coordinates:
U 0.192 0.125 0.219
F 0.000 0.000 0.500
F 0.096 0.864 0.195
F 0.152 0.702 0.877
F 0.267 0.380 0.261
F 0.367 0.229 0.969
F 0.377 0.509 0.545
F 0.472 0.045 0.668

Main lines, sorted by position (2θ from 5° to 70°):
2θ = 14.38°, rel. 92, (0 1 0)
2θ = 14.49°, rel. 53, (0 1 1)
2θ = 20.43°, rel. 53, (1 0 1)
2θ = 20.55°, rel. 83, (1 1 1)
2θ = 21.47°, rel. 84, (1 0 -1)
2θ = 22.15°, rel. 49, (0 1 -1)
2θ = 22.37°, rel. 62, (0 1 2)
2θ = 23.90°, rel. 100, (1 -1 0)
2θ = 26.47°, rel. 46, (0 2 1)
2θ = 41.53°, rel. 34, (1 3 2)

No. 5
Starting from DFT lattice parameters and positions (PBE), the powder XRD pattern of UF6 was simulated for Cu Kα.
Peak positions follow from Bragg's law for the DFT cell and can differ from measured ones.

Structural model:
Lattice parameters (Å, degrees): 10.481 9.275 5.245 90.00 90.00 90.00
Space group Pnma (No. 62)
Inequivalent atoms, fractional coordinates:
U 0.129 0.250 0.002
F 0.026 0.750 0.769
F 0.049 0.096 0.780
F 0.209 0.096 0.225
F 0.216 0.750 0.272

Main lines, sorted by position (2θ from 5° to 70°):
2θ = 18.92°, rel. 53, (1 0 1)
2θ = 19.14°, rel. 53, (0 2 0)
2θ = 19.46°, rel. 100, (2 1 0)
2θ = 21.23°, rel. 87, (1 1 1)
2θ = 27.04°, rel. 39, (1 2 1)
2θ = 34.75°, rel. 22, (1 3 1)
2θ = 36.47°, rel. 22, (3 2 1)
2θ = 39.49°, rel. 28, (0 2 2)
2θ = 39.64°, rel. 29, (2 1 2)
2θ = 48.73°, rel. 26, (2 3 2)

No. 6
Starting from DFT lattice parameters and positions (PBE), the powder XRD pattern of YU2F11 was simulated for Cu Kα.
Peak positions follow from Bragg's law for the DFT cell and can differ from measured ones.

Structural model:
Lattice parameters (Å, degrees): 8.453 10.430 11.011 90.00 90.00 90.00
Space group Ibam (No. 72)
Inequivalent atoms, fractional coordinates:
Y 0.000 0.000 0.250
U 0.151 0.317 0.000
F 0.000 0.500 0.000
F 0.092 0.173 0.141
F 0.127 0.287 0.500
F 0.216 0.072 0.362

Main lines, sorted by position (2θ from 5° to 70°):
2θ = 16.10°, rel. 66, (0 0 2)
2θ = 21.06°, rel. 55, (1 1 2)
2θ = 21.59°, rel. 69, (1 2 1)
2θ = 23.50°, rel. 61, (0 2 2)
2θ = 24.12°, rel. 100, (2 1 1)
2θ = 33.46°, rel. 28, (2 1 3)
2θ = 43.27°, rel. 23, (1 3 4)
2θ = 43.92°, rel. 28, (1 4 3)
2θ = 44.54°, rel. 46, (3 3 2)
2θ = 46.01°, rel. 22, (4 0 2)